1.
Diffraction record for LiHg3Bi3. The X-ray powder pattern is simulated, not measured: it uses a cell relaxed with PBE and Cu Kα (λ = 1.5418 Å).
No peak broadening, texture or thermal motion is included.

a b c (Å): 8.2971 8.2971 8.2971
angles (deg): 90.00 90.00 90.00
Element x y z (fractional)
1 Li 0.0000 0.0000 0.0000
2 Li 0.5000 0.5000 0.5000
3 Hg 0.0000 0.2500 0.5000
4 Hg 0.0000 0.7500 0.5000
5 Hg 0.2500 0.5000 0.0000
6 Hg 0.5000 0.0000 0.2500
7 Hg 0.5000 0.0000 0.7500
8 Hg 0.7500 0.5000 0.0000
9 Bi 0.0000 0.5000 0.2500
10 Bi 0.0000 0.5000 0.7500
11 Bi 0.2500 0.0000 0.5000
12 Bi 0.5000 0.2500 0.0000
13 Bi 0.5000 0.7500 0.0000
14 Bi 0.7500 0.0000 0.5000

Most intense lines, 15 to 90 degrees two-theta, in order of rising 2θ:
2θ 15.1, I = 100, (1 1 0)
2θ 21.4, I = 24, (2 0 0)
2θ 26.3, I = 59, (2 1 1)
2θ 34.2, I = 29, (3 1 0)
2θ 37.6, I = 69, (2 2 2)
2θ 40.7, I = 38, (3 2 1)
2θ 43.6, I = 35, (4 0 0)
2θ 56.6, I = 21, (5 1 0)
2θ 63.4, I = 23, (4 4 0)
2θ 76.1, I = 28, (6 2 2)

***

2.
Diffraction record for KTl2BrF2. The X-ray powder pattern is simulated, not measured: it uses a cell relaxed with PBE and Cu Kα (λ = 1.5418 Å).
No peak broadening, texture or thermal motion is included.

a b c (Å): 7.3824 6.4093 7.9264
angles (deg): 90.00 107.28 90.00
Element x y z (fractional)
1 K 0.1516 0.2500 0.4562
2 K 0.8484 0.7500 0.5438
3 Tl 0.0647 0.2500 0.9136
4 Tl 0.4072 0.7500 0.7662
5 Tl 0.5928 0.2500 0.2338
6 Tl 0.9353 0.7500 0.0864
7 Br 0.3441 0.7500 0.3444
8 Br 0.6559 0.2500 0.6556
9 F 0.1400 0.5042 0.7172
10 F 0.1400 0.9958 0.7172
11 F 0.8600 0.0042 0.2828
12 F 0.8600 0.4958 0.2828

Most intense lines, 15 to 90 degrees two-theta, in order of rising 2θ:
2θ 19.6, I = 33, (1 0 1)
2θ 20.0, I = 76, (1 1 -1)
2θ 27.0, I = 100, (1 1 -2)
2θ 27.8, I = 53, (0 2 0)
2θ 28.9, I = 81, (2 1 0)
2θ 29.9, I = 34, (1 0 2)
2θ 38.3, I = 29, (0 1 3)
2θ 41.3, I = 38, (1 2 2)
2θ 47.1, I = 19, (2 2 -3)
2θ 48.8, I = 20, (1 3 -2)